(1)
For MgNi, a DFT-relaxed cell (GGA-PBE, the Materials Project) gives the calculated powder diffractogram in this record (a wavelength of 1.5418 Å).
Kinematic intensities with the Lorentz-polarization factor, no thermal factor.

Cell and atoms:
```
data_MgNi
_chemical_formula_sum 'Mg1 Ni1'
_space_group_name_H-M_alt 'P 4/m m m'
_space_group_IT_number 123
_space_group_name_Hall '-P 4 2'
_cell_length_a 2.9849
_cell_length_b 2.9849
_cell_length_c 3.1600
_cell_angle_alpha 90.00
_cell_angle_beta 90.00
_cell_angle_gamma 90.00
loop_
_atom_site_label
_atom_site_fract_x
_atom_site_fract_y
_atom_site_fract_z
_atom_site_occupancy
Mg1 0.0000 0.0000 0.0000 1
Ni1 0.5000 0.5000 0.5000 1
```

Largest 9 diffraction maxima, by angle, 2θ = 5–70°:
2θ (°), intensity
28.2, 14
29.9, 24
41.6, 100
42.8, 46
52.1, 9
58.4, 9
62.2, 14
67.0, 4
69.7, 4

=====

(2)
For MgNi3, a DFT-relaxed cell (GGA-PBE, the Materials Project) gives the calculated powder diffractogram in this record (a wavelength of 1.5418 Å).
Kinematic intensities with the Lorentz-polarization factor, no thermal factor.

Cell and atoms:
```
data_MgNi3
_chemical_formula_sum 'Mg2 Ni6'
_space_group_name_H-M_alt 'P 63/m m c'
_space_group_IT_number 194
_space_group_name_Hall '-P 6c 2c'
_cell_length_a 5.2038
_cell_length_b 5.2038
_cell_length_c 4.1615
_cell_angle_alpha 90.00
_cell_angle_beta 90.00
_cell_angle_gamma 120.00
loop_
_atom_site_label
_atom_site_fract_x
_atom_site_fract_y
_atom_site_fract_z
_atom_site_occupancy
Mg1 0.3333 0.6667 0.2500 1
Ni1 0.1597 0.3195 0.7500 1
```

Largest 10 diffraction maxima, by angle, 2θ = 5–70°:
2θ (°), intensity
19.7, 11
29.2, 8
34.5, 5
40.0, 25
43.5, 26
45.8, 100
48.2, 2
56.6, 2
58.6, 5
60.6, 14

=====

(3)
For Mg2Ni, a DFT-relaxed cell (GGA-PBE, the Materials Project) gives the calculated powder diffractogram in this record (a wavelength of 1.5418 Å).
Kinematic intensities with the Lorentz-polarization factor, no thermal factor.

Cell and atoms:
```
data_Mg2Ni
_chemical_formula_sum 'Mg8 Ni4'
_space_group_name_H-M_alt 'P 1'
_space_group_IT_number 1
_cell_length_a 6.0565
_cell_length_b 6.0751
_cell_length_c 7.4566
_cell_angle_alpha 113.28
_cell_angle_beta 113.85
_cell_angle_gamma 90.10
loop_
_space_group_symop_operation_xyz
'x,y,z'
loop_
_atom_site_label
_atom_site_fract_x
_atom_site_fract_y
_atom_site_fract_z
_atom_site_occupancy
Mg1 0.0000 0.0000 0.0000 1
Mg2 0.9996 0.5004 0.9999 1
Mg3 0.2379 0.2223 0.4928 1
Mg4 0.2550 0.7224 0.4933 1
Mg5 0.4917 0.4933 0.9887 1
Mg6 0.4967 0.9933 0.9884 1
Mg7 0.7367 0.2488 0.4939 1
Mg8 0.7566 0.7487 0.4935 1
Ni1 0.1180 0.1196 0.7472 1
Ni2 0.3760 0.8675 0.2448 1
Ni3 0.6288 0.6196 0.7472 1
Ni4 0.8685 0.3676 0.2448 1
```

Largest 10 diffraction maxima, by angle, 2θ = 5–70°:
2θ (°), intensity
25.2, 85
25.4, 85
41.5, 35
41.9, 68
42.1, 100
49.1, 13
49.5, 19
49.8, 13
49.9, 24
60.2, 11

=====

(4)
For MgNi2, a DFT-relaxed cell (GGA-PBE, the Materials Project) gives the calculated powder diffractogram in this record (a wavelength of 1.5418 Å).
Kinematic intensities with the Lorentz-polarization factor, no thermal factor.

Cell and atoms:
```
data_MgNi2
_chemical_formula_sum 'Mg8 Ni16'
_space_group_name_H-M_alt 'P 63/m m c'
_space_group_IT_number 194
_space_group_name_Hall '-P 6c 2c'
_cell_length_a 4.7928
_cell_length_b 4.7928
_cell_length_c 15.6850
_cell_angle_alpha 90.00
_cell_angle_beta 90.00
_cell_angle_gamma 120.00
loop_
_atom_site_label
_atom_site_fract_x
_atom_site_fract_y
_atom_site_fract_z
_atom_site_occupancy
Mg1 0.0000 0.0000 0.0937 1
Mg2 0.3333 0.6667 0.1560 1
Ni1 0.0000 0.5000 0.0000 1
Ni2 0.1646 0.3292 0.7500 1
Ni3 0.3333 0.6667 0.6250 1
```

Largest 10 diffraction maxima, by angle, 2θ = 5–70°:
2θ (°), intensity
22.2, 55
22.7, 32
24.3, 24
40.8, 34
44.3, 100
45.2, 88
46.0, 20
46.3, 36
47.1, 43
52.9, 22

=====

(5)
For MgNi, a DFT-relaxed cell (GGA-PBE, the Materials Project) gives the calculated powder diffractogram in this record (a wavelength of 1.5418 Å).
Kinematic intensities with the Lorentz-polarization factor, no thermal factor.

Cell and atoms:
```
data_MgNi
_chemical_formula_sum 'Mg9 Ni9'
_space_group_name_H-M_alt 'R -3 m'
_space_group_IT_number 166
_space_group_name_Hall '-R 3 2"'
_cell_length_a 4.9992
_cell_length_b 4.9992
_cell_length_c 12.0793
_cell_angle_alpha 90.00
_cell_angle_beta 90.00
_cell_angle_gamma 120.00
loop_
_atom_site_label
_atom_site_fract_x
_atom_site_fract_y
_atom_site_fract_z
_atom_site_occupancy
Mg1 0.0000 0.0000 0.0000 1
Mg2 0.0000 0.0000 0.3804 1
Ni1 0.0000 0.5000 0.5000 1
```

Largest 10 diffraction maxima, by angle, 2θ = 5–70°:
2θ (°), intensity
21.8, 38
22.1, 82
36.3, 29
42.4, 98
42.6, 69
42.9, 39
44.5, 100
45.0, 28
52.0, 35
69.7, 18

=====

(6)
For MgNi, a DFT-relaxed cell (GGA-PBE, the Materials Project) gives the calculated powder diffractogram in this record (a wavelength of 1.5418 Å).
Kinematic intensities with the Lorentz-polarization factor, no thermal factor.

Cell and atoms:
```
data_MgNi
_chemical_formula_sum 'Mg1 Ni1'
_space_group_name_H-M_alt 'P m -3 m'
_space_group_IT_number 221
_space_group_name_Hall '-P 4 2 3'
_cell_length_a 3.0465
_cell_length_b 3.0465
_cell_length_c 3.0465
_cell_angle_alpha 90.00
_cell_angle_beta 90.00
_cell_angle_gamma 90.00
loop_
_atom_site_label
_atom_site_fract_x
_atom_site_fract_y
_atom_site_fract_z
_atom_site_occupancy
Mg1 0.0000 0.0000 0.0000 1
Ni1 0.5000 0.5000 0.5000 1
```

Largest 5 diffraction maxima, by angle, 2θ = 5–70°:
2θ (°), intensity
29.3, 26
41.9, 100
52.0, 6
60.8, 15
68.9, 8

=====

(7)
For MgNi5, a DFT-relaxed cell (GGA-PBE, the Materials Project) gives the calculated powder diffractogram in this record (a wavelength of 1.5418 Å).
Kinematic intensities with the Lorentz-polarization factor, no thermal factor.

Cell and atoms:
```
data_MgNi5
_chemical_formula_sum 'Mg3 Ni15'
_space_group_name_H-M_alt 'R 3 2'
_space_group_IT_number 155
_space_group_name_Hall 'R 3 2"'
_cell_length_a 4.4125
_cell_length_b 4.4125
_cell_length_c 12.3921
_cell_angle_alpha 90.00
_cell_angle_beta 90.00
_cell_angle_gamma 120.00
loop_
_atom_site_label
_atom_site_fract_x
_atom_site_fract_y
_atom_site_fract_z
_atom_site_occupancy
Mg1 0.0000 0.0000 0.0000 1
Ni1 0.0000 0.0000 0.3297 1
Ni2 0.0000 0.6767 0.5000 1
```

Largest 10 diffraction maxima, by angle, 2θ = 5–70°:
2θ (°), intensity
21.5, 2
24.4, 6
27.4, 3
40.9, 26
43.5, 2
43.8, 27
46.7, 100
50.0, 1
61.5, 14
65.0, 1

=====

(8)
For MgNi3, a DFT-relaxed cell (GGA-PBE, the Materials Project) gives the calculated powder diffractogram in this record (a wavelength of 1.5418 Å).
Kinematic intensities with the Lorentz-polarization factor, no thermal factor.

Cell and atoms:
```
data_MgNi3
_chemical_formula_sum 'Mg2 Ni6'
_space_group_name_H-M_alt 'I 4/m m m'
_space_group_IT_number 139
_space_group_name_Hall '-I 4 2'
_cell_length_a 3.6648
_cell_length_b 3.6648
_cell_length_c 7.2336
_cell_angle_alpha 90.00
_cell_angle_beta 90.00
_cell_angle_gamma 90.00
loop_
_atom_site_label
_atom_site_fract_x
_atom_site_fract_y
_atom_site_fract_z
_atom_site_occupancy
Mg1 0.0000 0.0000 0.0000 1
Ni1 0.0000 0.0000 0.5000 1
Ni2 0.0000 0.5000 0.2500 1
```

Largest 10 diffraction maxima, by angle, 2θ = 5–70°:
2θ (°), intensity
24.6, 4
27.3, 11
34.6, 3
42.9, 100
45.0, 3
49.8, 32
50.5, 15
56.3, 1
57.7, 2
69.3, 1